This entry pairs a crystal structure of Na2Zr2CrS6 with its computed powder diffraction line list. Radiation: λ = 1.5418 Å (Cu Kα). Structure: a crystal structure in Alexandria, relaxed with GGA-PBE.

Cell and atoms:
```
Na2Zr2CrS6
1.0
3.127 -5.388 0.000
3.127 5.388 0.000
-2.135 0.000 6.890
Na Zr Cr S
2 2 1 6
Direct
0.171 0.829 0.000 Na
0.829 0.171 0.000 Na
0.333 0.667 0.500 Zr
0.667 0.333 0.500 Zr
0.000 0.000 0.500 Cr
0.074 0.389 0.713 S
0.242 0.242 0.289 S
0.389 0.074 0.713 S
0.611 0.926 0.287 S
0.758 0.758 0.711 S
0.926 0.611 0.287 S
```

Main lines, in order of rising 2θ (15° ≤ 2θ ≤ 90°):
| 2θ/deg | I (rel.) |
| --- | --- |
| 29.01 | 21 |
| 33.39 | 51 |
| 33.65 | 100 |
| 41.93 | 10 |
| 42.25 | 19 |
| 45.53 | 35 |
| 45.72 | 18 |
| 50.63 | 29 |
| 50.84 | 14 |
| 62.18 | 21 |